LuZrF7: simulated X-ray diffraction stick pattern (Cu Kα, 1.54184 Å), based on a DFT-relaxed cell (GGA-PBE, Alexandria).
Lines closer than 0.1° are merged.

Atomic structure:
```
LuZrF7
1.0
6.001 0.000 0.000
0.000 5.763 0.000
-1.917 0.000 7.988
Lu Zr F
2 2 14
Direct
0.148 0.000 0.186 Lu
0.852 0.500 0.814 Lu
0.321 0.001 0.726 Zr
0.679 0.501 0.274 Zr
0.005 0.745 0.002 F
0.083 0.743 0.708 F
0.090 0.266 0.710 F
0.267 0.000 0.473 F
0.366 0.001 0.979 F
0.420 0.739 0.257 F
0.421 0.261 0.256 F
0.579 0.761 0.744 F
0.580 0.239 0.743 F
0.634 0.501 0.021 F
0.733 0.500 0.527 F
0.910 0.766 0.290 F
0.917 0.243 0.292 F
0.995 0.245 0.998 F
```

Most intense lines, 10° ≤ 2θ ≤ 80°, most intense first:
| h k l | Position (°2θ) | d (Å) | I_rel |
| --- | --- | --- | --- |
| 1 1 0 | 21.7 | 4.100 | 100 |
| 0 0 2 | 22.3 | 3.994 | 37 |
| 1 1 -2 | 28.5 | 3.129 | 32 |
| 1 1 1 | 26.0 | 3.427 | 31 |
| 3 1 -1 | 48.2 | 1.889 | 27 |
| 2 2 -1 | 43.7 | 2.069 | 19 |
| 2 2 1 | 47.6 | 1.912 | 16 |
| 0 1 2 | 27.2 | 3.283 | 16 |
| 1 1 -1 | 22.7 | 3.918 | 15 |
| 2 2 -2 | 46.4 | 1.958 | 15 |